Simulated powder XRD pattern of HoMgAu2 for Cu Kα (λ = 1.5418 Å), from the GGA-PBE geometry in the Materials Project.
Kinematic intensities with the Lorentz-polarization factor, no thermal factor.

Structural model:
```
data_HoMgAu2
_chemical_formula_sum 'Ho4 Mg4 Au8'
_cell_length_a 6.930
_cell_length_b 6.930
_cell_length_c 6.930
_cell_angle_alpha 90.00
_cell_angle_beta 90.00
_cell_angle_gamma 90.00
_symmetry_space_group_name_H-M 'F m -3 m'
_symmetry_Int_Tables_number 225
_symmetry_space_group_name_Hall '-F 4 2 3'
loop_
_atom_site_label
_atom_site_fract_x
_atom_site_fract_y
_atom_site_fract_z
Ho1 0.000 0.000 0.000
Mg1 0.000 0.000 0.500
Au1 0.250 0.250 0.250
```

Largest 8 diffraction maxima, low angle first, 10° ≤ 2θ ≤ 80°:
d (Å)	I/Imax
4.001	13
3.465	15
2.450	100
2.089	7
1.732	18
1.550	6
1.414	36
1.225	12

Simulated powder XRD pattern of MgTiP2O7 for Cu Kα (λ = 1.5418 Å), from the GGA-PBE geometry in the Materials Project.
Kinematic intensities with the Lorentz-polarization factor, no thermal factor.

Structural model:
```
data_MgTiP2O7
_chemical_formula_sum 'Mg2 Ti2 P4 O14'
_cell_length_a 6.482
_cell_length_b 6.553
_cell_length_c 6.734
_cell_angle_alpha 80.19
_cell_angle_beta 64.66
_cell_angle_gamma 80.66
_symmetry_space_group_name_H-M 'P -1'
_symmetry_Int_Tables_number 2
loop_
_symmetry_equiv_pos_as_xyz
'x,y,z'
'-x,-y,-z'
loop_
_atom_site_label
_atom_site_fract_x
_atom_site_fract_y
_atom_site_fract_z
Mg1 0.213 0.139 0.339
Ti1 0.406 0.356 0.703
P1 0.137 0.618 0.191
P2 0.272 0.858 0.748
O1 0.099 0.766 0.984
O2 0.108 0.371 0.628
O3 0.114 0.943 0.629
O4 0.233 0.398 0.115
O5 0.298 0.729 0.237
O6 0.416 0.015 0.764
O7 0.450 0.677 0.643
```

Largest 8 diffraction maxima, low angle first, 10° ≤ 2θ ≤ 80°:
d (Å)	I/Imax
5.471	38
3.189	60
3.102	45
3.071	82
3.024	92
2.980	100
2.712	59
2.321	31